1.
This entry pairs a crystal structure of BaSm4Te6 with its theoretical PXRD pattern. Radiation: copper Kα. Structure: a crystal structure in Alexandria, relaxed with PBE.

The 10 most intense peaks (15° ≤ 2θ ≤ 90°), sorted by position:
| Position (°2θ) | intensity | hkl |
| --- | --- | --- |
| 26.08 | 53 | 0 2 6 |
| 27.17 | 57 | 1 3 1 |
| 28.00 | 100 | 1 3 2 |
| 29.32 | 56 | 1 3 3 |
| 29.61 | 30 | 0 2 7 |
| 37.40 | 34 | 1 1 8 |
| 39.83 | 33 | 1 5 4 |
| 40.00 | 71 | 2 0 0 |
| 40.82 | 25 | 1 1 9 |
| 41.58 | 26 | 1 5 5 |

```
data_BaSm4Te6
_symmetry_space_group_name_H-M 'C m c m'
_symmetry_Int_Tables_number 63
_symmetry_space_group_name_Hall '-C 2c 2'
_cell_length_a 4.511
_cell_length_b 14.663
_cell_length_c 23.170
_cell_angle_alpha 90.00
_cell_angle_beta 90.00
_cell_angle_gamma 90.00
loop_
_atom_site_label
_atom_site_fract_x
_atom_site_fract_y
_atom_site_fract_z
Ba1 0.000 0.161 0.250
Sm1 0.000 0.092 0.625
Sm2 0.000 0.360 0.537
Te1 0.000 0.000 0.000
Te2 0.000 0.162 0.750
Te3 0.000 0.267 0.088
Te4 0.000 0.455 0.659
```



2.
This entry pairs a crystal structure of CuAgAu3 with its theoretical PXRD pattern. Radiation: copper Kα. Structure: a crystal structure in Alexandria, relaxed with PBE.

The 10 most intense peaks (15° ≤ 2θ ≤ 90°), sorted by position:
| Position (°2θ) | intensity | hkl |
| --- | --- | --- |
| 21.47 | 16 | 0 0 2 |
| 26.02 | 18 | 0 1 -2 |
| 27.44 | 13 | 0 2 -1 |
| 31.73 | 22 | 1 0 0 |
| 37.58 | 54 | 0 2 3 |
| 39.00 | 100 | 1 0 2 |
| 39.30 | 55 | 1 1 -2 |
| 43.91 | 75 | 1 3 1 |
| 47.18 | 26 | 0 1 -4 |
| 64.97 | 13 | 2 1 0 |

```
data_CuAgAu3
_symmetry_space_group_name_H-M 'P -1'
_symmetry_Int_Tables_number 2
_cell_length_a 2.871
_cell_length_b 7.724
_cell_length_c 8.365
_cell_angle_alpha 81.82
_cell_angle_beta 89.49
_cell_angle_gamma 79.30
loop_
_symmetry_equiv_pos_as_xyz
'x,y,z'
'-x,-y,-z'
loop_
_atom_site_label
_atom_site_fract_x
_atom_site_fract_y
_atom_site_fract_z
Cu1 0.102 0.296 0.448
Ag1 0.174 0.154 0.912
Au1 0.272 0.955 0.358
Au2 0.381 0.738 0.824
Au3 0.462 0.581 0.313
```



What did the second record say?
This entry pairs a crystal structure of CuAgAu3 with its theoretical PXRD pattern. Radiation: copper Kα. Structure: a crystal structure in Alexandria, relaxed with PBE.

The 10 most intense peaks (15° ≤ 2θ ≤ 90°), sorted by position:
| Position (°2θ) | intensity | hkl |
| --- | --- | --- |
| 21.47 | 16 | 0 0 2 |
| 26.02 | 18 | 0 1 -2 |
| 27.44 | 13 | 0 2 -1 |
| 31.73 | 22 | 1 0 0 |
| 37.58 | 54 | 0 2 3 |
| 39.00 | 100 | 1 0 2 |
| 39.30 | 55 | 1 1 -2 |
| 43.91 | 75 | 1 3 1 |
| 47.18 | 26 | 0 1 -4 |
| 64.97 | 13 | 2 1 0 |

```
data_CuAgAu3
_symmetry_space_group_name_H-M 'P -1'
_symmetry_Int_Tables_number 2
_cell_length_a 2.871
_cell_length_b 7.724
_cell_length_c 8.365
_cell_angle_alpha 81.82
_cell_angle_beta 89.49
_cell_angle_gamma 79.30
loop_
_symmetry_equiv_pos_as_xyz
'x,y,z'
'-x,-y,-z'
loop_
_atom_site_label
_atom_site_fract_x
_atom_site_fract_y
_atom_site_fract_z
Cu1 0.102 0.296 0.448
Ag1 0.174 0.154 0.912
Au1 0.272 0.955 0.358
Au2 0.381 0.738 0.824
Au3 0.462 0.581 0.313
```